Diffraction record for AcZn2N2F. The X-ray diffraction stick pattern is calculated, not measured: it uses a crystal structure in Alexandria, relaxed with PBE and a wavelength of 1.5418 Å.

Structure:
```
data_AcZn2N2F
_chemical_formula_sum 'Ac2 Zn4 N4 F2'
_cell_length_a 5.300
_cell_length_b 5.247
_cell_length_c 8.142
_cell_angle_alpha 90.00
_cell_angle_beta 98.25
_cell_angle_gamma 90.00
_space_group_name_H-M_alt 'P 1 21/m 1'
_space_group_IT_number 11
loop_
_space_group_symop_operation_xyz
'x,y,z'
'-x,-y,-z'
'-x,y+1/2,-z'
'x,-y+1/2,z'
loop_
_atom_site_label
_atom_site_type_symbol
_atom_site_fract_x
_atom_site_fract_y
_atom_site_fract_z
_atom_site_occupancy
Ac1 Ac 0.198 0.250 0.162 1
Zn1 Zn 0.242 0.509 0.615 1
N1 N 0.178 0.250 0.458 1
N2 N 0.325 0.750 0.789 1
F1 F 0.101 0.750 0.127 1
```

Top 8 peaks for 2θ from 10° to 80°, by angle:
Position (°2θ)  I_rel  index
20.20  100  0 1 1
23.99  61  1 1 0
25.88  68  1 0 -2
27.92  33  0 1 2
29.84  61  1 0 2
34.19  43  2 0 0
36.00  31  0 2 1
39.32  70  1 2 -1

***

Diffraction record for BeFeC. The X-ray diffraction stick pattern is calculated, not measured: it uses a crystal structure in Alexandria, relaxed with PBE and a wavelength of 1.5418 Å.

Structure:
```
data_BeFeC
_chemical_formula_sum 'Be3 Fe3 C3'
_cell_length_a 2.7468
_cell_length_b 2.7468
_cell_length_c 11.4246
_cell_angle_alpha 90.00
_cell_angle_beta 90.00
_cell_angle_gamma 120.00
_space_group_name_H-M_alt 'R 3 m'
_space_group_IT_number 160
_space_group_name_Hall 'R 3 -2"'
loop_
_atom_site_label
_atom_site_type_symbol
_atom_site_fract_x
_atom_site_fract_y
_atom_site_fract_z
_atom_site_occupancy
Be1 Be 0.0000 0.0000 0.0000 1
Fe1 Fe 0.0000 0.0000 0.8170 1
C1 C 0.0000 0.0000 0.5804 1
```

Top 8 peaks for 2θ from 10° to 80°, by angle:
Position (°2θ)  I_rel  index
23.36  85  0 0 3
38.66  100  1 0 1
41.10  44  0 1 2
47.77  14  0 0 6
49.89  52  1 0 4
55.79  38  0 1 5
68.29  22  1 1 0
73.27  17  1 1 3